Entry 1:
Starting from a DFT-relaxed cell (PBE, Alexandria), the X-ray powder pattern of YHo2Te3 was computed for Cu Ka.
Intensities are scaled so that the largest is 100.

Main lines, sorted by position (2θ from 15° to 90°):
| d_spacing | 2θ (°) | I/Imax |
| --- | --- | --- |
| 3.628 | 24.5 | 17 |
| 3.282 | 27.2 | 51 |
| 2.642 | 33.9 | 100 |
| 2.095 | 43.2 | 58 |
| 1.641 | 56.0 | 24 |
| 1.418 | 65.9 | 29 |
| 1.292 | 73.3 | 21 |
| 1.209 | 79.2 | 12 |

Cell and atoms:
Unit cell a=8.774 b=8.774 c=8.774 alpha=48.84 beta=48.84 gamma=48.84
Positions (direct):
Y 0.000 0.000 0.000
Y 0.500 0.500 0.500
Ho 0.166 0.166 0.166
Ho 0.334 0.334 0.334
Ho 0.666 0.666 0.666
Ho 0.834 0.834 0.834
Te 0.082 0.750 0.418
Te 0.250 0.582 0.918
Te 0.418 0.082 0.750
Te 0.582 0.918 0.250
Te 0.750 0.418 0.082
Te 0.918 0.250 0.582

Entry 2:
Starting from a DFT-relaxed cell (PBE, Alexandria), the X-ray powder pattern of Er6Bi3Sb was computed for Cu Ka.
Intensities are scaled so that the largest is 100.

Main lines, sorted by position (2θ from 15° to 90°):
| d_spacing | 2θ (°) | I/Imax |
| --- | --- | --- |
| 5.775 | 15.3 | 19 |
| 3.855 | 23.1 | 46 |
| 3.264 | 27.3 | 19 |
| 2.885 | 31.0 | 73 |
| 2.780 | 32.2 | 100 |
| 2.660 | 33.7 | 35 |
| 2.612 | 34.3 | 36 |
| 2.338 | 38.5 | 27 |

Cell and atoms:
Unit cell a=9.357 b=9.357 c=7.547 alpha=90.00 beta=90.00 gamma=106.53
Positions (direct):
Er 0.001 0.999 0.500
Er 0.079 0.540 0.990
Er 0.248 0.752 0.382
Er 0.271 0.388 0.390
Er 0.388 0.271 0.890
Er 0.460 0.921 0.990
Er 0.540 0.079 0.490
Er 0.612 0.729 0.390
Er 0.729 0.612 0.890
Er 0.752 0.248 0.882
Er 0.921 0.460 0.490
Er 0.999 0.001 0.000
Bi 0.088 0.284 0.734
Bi 0.284 0.088 0.234
Bi 0.416 0.584 0.068
Bi 0.584 0.416 0.568
Bi 0.716 0.912 0.734
Bi 0.912 0.716 0.234
Sb 0.166 0.834 0.748
Sb 0.834 0.166 0.248

Entry 3:
Starting from a DFT-relaxed cell (PBE, Alexandria), the X-ray powder pattern of ErTiAs2 was computed for Cu Ka.
Intensities are scaled so that the largest is 100.

Main lines, sorted by position (2θ from 15° to 90°):
| d_spacing | 2θ (°) | I/Imax |
| --- | --- | --- |
| 3.289 | 27.1 | 19 |
| 2.734 | 32.8 | 100 |
| 2.511 | 35.8 | 15 |
| 1.939 | 46.9 | 34 |
| 1.928 | 47.1 | 36 |
| 1.576 | 58.6 | 18 |
| 1.226 | 78.0 | 13 |
| 1.220 | 78.4 | 16 |

Cell and atoms:
Unit cell a=3.856 b=3.856 c=19.051 alpha=90.00 beta=90.00 gamma=120.00
Positions (direct):
Er 0.000 0.000 0.000
Er 0.333 0.667 0.667
Er 0.667 0.333 0.333
Ti 0.000 0.000 0.500
Ti 0.333 0.667 0.167
Ti 0.667 0.333 0.833
As 0.000 0.000 0.241
As 0.000 0.000 0.759
As 0.333 0.667 0.425
As 0.333 0.667 0.908
As 0.667 0.333 0.092
As 0.667 0.333 0.575

Entry 4:
Starting from a DFT-relaxed cell (PBE, Alexandria), the X-ray powder pattern of LaCeCu4 was computed for Cu Ka.
Intensities are scaled so that the largest is 100.

Main lines, sorted by position (2θ from 15° to 90°):
| d_spacing | 2θ (°) | I/Imax |
| --- | --- | --- |
| 3.156 | 28.3 | 30 |
| 2.640 | 34.0 | 100 |
| 2.456 | 36.6 | 56 |
| 1.983 | 45.7 | 36 |
| 1.946 | 46.7 | 32 |
| 1.543 | 60.0 | 26 |
| 1.389 | 67.4 | 20 |
| 1.238 | 77.0 | 18 |

Cell and atoms:
Unit cell a=3.967 b=3.967 c=15.635 alpha=90.00 beta=90.00 gamma=90.00
Positions (direct):
La 0.000 0.000 0.000
La 0.500 0.500 0.500
Ce 0.000 0.500 0.250
Ce 0.500 0.000 0.750
Cu 0.000 0.000 0.419
Cu 0.000 0.000 0.581
Cu 0.000 0.500 0.671
Cu 0.000 0.500 0.829
Cu 0.500 0.000 0.171
Cu 0.500 0.000 0.329
Cu 0.500 0.500 0.081
Cu 0.500 0.500 0.919

Entry 5:
Starting from a DFT-relaxed cell (PBE, Alexandria), the X-ray powder pattern of Mo8Ru7 was computed for Cu Ka.
Intensities are scaled so that the largest is 100.

Main lines, sorted by position (2θ from 15° to 90°):
| d_spacing | 2θ (°) | I/Imax |
| --- | --- | --- |
| 2.466 | 36.4 | 23 |
| 2.326 | 38.7 | 92 |
| 2.260 | 39.9 | 39 |
| 2.193 | 41.2 | 31 |
| 2.138 | 42.3 | 71 |
| 2.104 | 43.0 | 100 |
| 2.055 | 44.1 | 55 |
| 1.342 | 70.1 | 35 |

Cell and atoms:
Unit cell a=9.589 b=9.589 c=4.933 alpha=90.00 beta=90.00 gamma=90.00
Positions (direct):
Mo 0.039 0.366 0.000
Mo 0.134 0.539 0.500
Mo 0.178 0.822 0.250
Mo 0.178 0.822 0.750
Mo 0.322 0.322 0.250
Mo 0.322 0.322 0.750
Mo 0.366 0.039 0.000
Mo 0.461 0.866 0.500
Mo 0.539 0.134 0.500
Mo 0.634 0.961 0.000
Mo 0.678 0.678 0.250
Mo 0.678 0.678 0.750
Mo 0.822 0.178 0.250
Mo 0.822 0.178 0.750
Mo 0.866 0.461 0.500
Mo 0.961 0.634 0.000
Ru 0.000 0.000 0.500
Ru 0.070 0.264 0.500
Ru 0.098 0.098 0.000
Ru 0.236 0.570 0.000
Ru 0.264 0.070 0.500
Ru 0.402 0.598 0.500
Ru 0.430 0.764 0.000
Ru 0.500 0.500 0.000
Ru 0.570 0.236 0.000
Ru 0.598 0.402 0.500
Ru 0.736 0.930 0.500
Ru 0.764 0.430 0.000
Ru 0.902 0.902 0.000
Ru 0.930 0.736 0.500

Entry 6:
Starting from a DFT-relaxed cell (PBE, Alexandria), the X-ray powder pattern of Zr6GaH was computed for Cu Ka.
Intensities are scaled so that the largest is 100.

Main lines, sorted by position (2θ from 15° to 90°):
| d_spacing | 2θ (°) | I/Imax |
| --- | --- | --- |
| 2.650 | 33.8 | 38 |
| 2.644 | 33.9 | 94 |
| 2.627 | 34.1 | 84 |
| 2.589 | 34.7 | 88 |
| 2.456 | 36.6 | 100 |
| 2.297 | 39.2 | 52 |
| 2.228 | 40.5 | 53 |
| 2.173 | 41.6 | 62 |

Cell and atoms:
Unit cell a=5.487 b=5.536 c=5.562 alpha=102.58 beta=103.89 gamma=98.76
Positions (direct):
Zr 0.093 0.249 0.190
Zr 0.259 0.813 0.408
Zr 0.300 0.393 0.759
Zr 0.700 0.607 0.241
Zr 0.741 0.187 0.592
Zr 0.907 0.751 0.810
Ga 0.500 0.000 0.000
H 0.500 0.500 0.500

Entry 7:
Starting from a DFT-relaxed cell (PBE, Alexandria), the X-ray powder pattern of Hf7TlBi2H2 was computed for Cu Ka.
Intensities are scaled so that the largest is 100.

Main lines, sorted by position (2θ from 15° to 90°):
| d_spacing | 2θ (°) | I/Imax |
| --- | --- | --- |
| 2.739 | 32.7 | 55 |
| 2.669 | 33.6 | 68 |
| 2.538 | 35.4 | 83 |
| 2.465 | 36.4 | 61 |
| 2.453 | 36.6 | 100 |
| 2.163 | 41.8 | 87 |
| 1.588 | 58.1 | 38 |
| 1.530 | 60.5 | 36 |

Cell and atoms:
Unit cell a=4.330 b=4.330 c=12.525 alpha=97.22 beta=97.22 gamma=89.83
Positions (direct):
Hf 0.000 0.000 0.000
Hf 0.068 0.570 0.188
Hf 0.139 0.139 0.397
Hf 0.430 0.932 0.812
Hf 0.570 0.068 0.188
Hf 0.861 0.861 0.603
Hf 0.932 0.430 0.812
Tl 0.500 0.500 0.000
Bi 0.365 0.365 0.630
Bi 0.635 0.635 0.370
H 0.063 0.063 0.169
H 0.937 0.937 0.831

Entry 8:
Starting from a DFT-relaxed cell (PBE, Alexandria), the X-ray powder pattern of NaAs4BrO6 was computed for Cu Ka.
Intensities are scaled so that the largest is 100.

Main lines, sorted by position (2θ from 15° to 90°):
| d_spacing | 2θ (°) | I/Imax |
| --- | --- | --- |
| 4.221 | 21.0 | 100 |
| 3.694 | 24.1 | 65 |
| 3.211 | 27.8 | 30 |
| 3.090 | 28.9 | 36 |
| 2.792 | 32.1 | 69 |
| 2.714 | 33.0 | 65 |
| 2.663 | 33.7 | 67 |
| 2.419 | 37.2 | 40 |

Cell and atoms:
Unit cell a=19.671 b=5.326 c=8.225 alpha=90.00 beta=90.00 gamma=90.00
Positions (direct):
Na 0.057 0.250 0.111
Na 0.443 0.750 0.611
Na 0.557 0.250 0.389
Na 0.943 0.750 0.889
As 0.050 0.250 0.666
As 0.116 0.750 0.850
As 0.166 0.750 0.223
As 0.178 0.250 0.420
As 0.322 0.750 0.920
As 0.334 0.250 0.723
As 0.384 0.250 0.350
As 0.450 0.750 0.166
As 0.550 0.250 0.834
As 0.616 0.750 0.650
As 0.666 0.750 0.277
As 0.678 0.250 0.080
As 0.822 0.750 0.580
As 0.834 0.250 0.777
As 0.884 0.250 0.150
As 0.950 0.750 0.334
Br 0.219 0.250 0.019
Br 0.281 0.750 0.519
Br 0.719 0.250 0.481
Br 0.781 0.750 0.981
O 0.050 0.502 0.819
O 0.050 0.998 0.819
O 0.097 0.750 0.067
O 0.122 0.002 0.336
O 0.122 0.498 0.336
O 0.140 0.250 0.623
O 0.360 0.750 0.123
O 0.378 0.502 0.836
O 0.378 0.998 0.836
O 0.403 0.250 0.567
O 0.450 0.002 0.319
O 0.450 0.498 0.319
O 0.550 0.502 0.681
O 0.550 0.998 0.681
O 0.597 0.750 0.433
O 0.622 0.002 0.164
O 0.622 0.498 0.164
O 0.640 0.250 0.877
O 0.860 0.750 0.377
O 0.878 0.502 0.664
O 0.878 0.998 0.664
O 0.903 0.250 0.933
O 0.950 0.002 0.181
O 0.950 0.498 0.181